1.
Structure and calculated powder diffractogram of KSrNbBiO6 (the PBE geometry in the Materials Project; Cu Kα, 1.54184 Å).
Lines closer than 0.1° are merged.

Main lines, by angle (2θ from 10° to 80°):
2theta	d (Å)	I_rel
21.05	4.220	317
29.95	2.984	1000
42.92	2.107	210
53.15	1.723	274
53.21	1.722	140
62.19	1.493	130

abc: 8.4283 8.4296 8.4590
angles: 90.00 90.00 90.00
Space group Pnnn (No. 48, origin choice 2)
One atom of each set of equivalent atoms:
K 0.2500 0.2500 0.2500 [2 per cell]
K 0.2500 0.7500 0.2500 [2 per cell]
Sr 0.2500 0.2500 0.7500 [2 per cell]
Sr 0.2500 0.7500 0.7500 [2 per cell]
Nb 0.0000 0.0000 0.0000 [4 per cell]
Bi 0.0000 0.0000 0.5000 [4 per cell]
O 0.0132 0.2366 0.0144 [8 per cell]
O 0.0278 0.0139 0.7623 [8 per cell]
O 0.2364 0.5161 0.4935 [8 per cell]



2.
Structure and calculated powder diffractogram of KSrNbBiO6 (the PBE geometry in the Materials Project; Cu Kα, 1.54184 Å).
Lines closer than 0.1° are merged.

Main lines, by angle (2θ from 10° to 80°):
2theta	d (Å)	I_rel
20.99	4.232	322
29.86	2.993	1000
42.73	2.116	325
53.00	1.728	406
62.02	1.496	200
70.34	1.338	181

abc: 8.4647 8.4647 8.4647
angles: 90.00 90.00 90.00
Space group F-43m (No. 216)
One atom of each set of equivalent atoms:
K 0.0000 0.0000 0.0000 [4 per cell]
Sr 0.0000 0.0000 0.5000 [4 per cell]
Nb 0.2500 0.2500 0.2500 [4 per cell]
Bi 0.2500 0.2500 0.7500 [4 per cell]
O 0.0129 0.2500 0.2500 [24 per cell]



3.
Structure and calculated powder diffractogram of K8BiO3 (the PBE geometry in the Materials Project; Cu Kα, 1.54184 Å).
Lines closer than 0.1° are merged.

Main lines, by angle (2θ from 10° to 80°):
2theta	d (Å)	I_rel
12.47	7.097	374
17.67	5.018	666
21.69	4.098	508
28.11	3.174	637
30.86	2.897	319
35.79	2.509	1000

abc: 7.0972 7.0972 7.0972
angles: 90.00 90.00 90.00
Space group Pm-3m (No. 221)
One atom of each set of equivalent atoms:
K 0.2293 0.2293 0.2293 [8 per cell]
Bi 0.5000 0.5000 0.5000 [1 per cell]
O 0.0000 0.0000 0.5000 [3 per cell]



4.
Structure and calculated powder diffractogram of K7Bi9O24 (the PBE geometry in the Materials Project; Cu Kα, 1.54184 Å).
Lines closer than 0.1° are merged.

Main lines, by angle (2θ from 10° to 80°):
2theta	d (Å)	I_rel
20.74	4.283	477
29.49	3.029	1000
42.20	2.142	298
47.46	1.916	232
52.32	1.749	426
61.21	1.514	188

abc: 17.1341 8.5644 9.5784
angles: 90.00 116.56 90.00
Space group C2/m (No. 12)
One atom of each set of equivalent atoms:
K 0.0000 0.0000 0.0000 [2 per cell]
K 0.1247 0.0000 0.5014 [4 per cell]
K 0.1251 0.5000 0.4978 [4 per cell]
K 0.2482 0.5000 0.0000 [4 per cell]
Bi 0.0000 0.5000 0.0000 [2 per cell]
Bi 0.0628 0.2491 0.7494 [8 per cell]
Bi 0.1882 0.2486 0.2508 [8 per cell]
O 0.0000 0.2554 0.5000 [4 per cell]
O 0.0577 0.2703 0.2310 [8 per cell]
O 0.0577 0.5000 0.7698 [4 per cell]
O 0.0601 0.0000 0.7549 [4 per cell]
O 0.1151 0.2710 0.9998 [8 per cell]
O 0.1732 0.5000 0.2313 [4 per cell]
O 0.1822 0.0000 0.2437 [4 per cell]
O 0.1891 0.2493 0.7566 [8 per cell]
O 0.2500 0.2500 0.5000 [4 per cell]



5.
Structure and calculated powder diffractogram of K2Bi2O5 (the PBE geometry in the Materials Project; Cu Kα, 1.54184 Å).
Lines closer than 0.1° are merged.

Main lines, by angle (2θ from 10° to 80°):
2theta	d (Å)	I_rel
20.41	4.351	674
29.02	3.077	1000
41.47	2.177	195
46.67	1.946	332
51.44	1.777	424
60.14	1.539	178

abc: 4.3550 4.3550 8.6891
angles: 90.00 90.00 90.00
Space group P4/mmm (No. 123)
One atom of each set of equivalent atoms:
K 0.0000 0.0000 0.0000 [1 per cell]
K 0.0000 0.0000 0.5000 [1 per cell]
Bi 0.5000 0.5000 0.2434 [2 per cell]
O 0.0000 0.5000 0.2791 [4 per cell]
O 0.5000 0.5000 0.0000 [1 per cell]